No. 1
# LaNdTeN
Computed X-ray diffraction stick pattern, λ = 1.5418 Å (Cu Kα). Input: a crystal structure in Alexandria, relaxed with GGA-PBE.

Crystal structure
Lattice parameters (Å, degrees): 7.3116 7.3116 7.3116 148.73 148.48 45.00
Positions (direct):
La 0.0000 0.0000 0.0000
Nd 0.3026 0.3026 0.0000
Te 0.6567 0.6567 0.0000
N 0.4031 0.9031 0.5000

Peak list (10 most intense, 5° ≤ 2θ ≤ 70°, in order of rising 2θ)
2theta, d (Å), Rel. int.
30.0, 2.979, 100
30.1, 2.966, 99
32.0, 2.798, 84
40.0, 2.252, 18
45.7, 1.986, 18
46.1, 1.970, 17
52.1, 1.754, 37
55.7, 1.650, 35
55.9, 1.643, 34
66.6, 1.404, 12


No. 2
# Sr2In5Ir3
Computed X-ray diffraction stick pattern, λ = 1.5418 Å (Cu Kα). Input: a crystal structure in Alexandria, relaxed with GGA-PBE.

Crystal structure
Lattice parameters (Å, degrees): 13.6824 13.6824 7.4873 90.00 90.00 160.75
Positions (direct):
Sr 0.0250 0.9750 0.5000
Sr 0.3260 0.6740 0.4379
Sr 0.6740 0.3260 0.9379
Sr 0.9750 0.0250 0.0000
In 0.0969 0.9031 0.1219
In 0.2069 0.7931 0.6335
In 0.2118 0.7882 0.2300
In 0.3736 0.6264 0.9737
In 0.4482 0.5518 0.3299
In 0.5518 0.4482 0.8299
In 0.6264 0.3736 0.4737
In 0.7882 0.2118 0.7300
In 0.7931 0.2069 0.1335
In 0.9031 0.0969 0.6219
Ir 0.1099 0.8901 0.7513
Ir 0.2714 0.7286 0.9286
Ir 0.4511 0.5489 0.7143
Ir 0.5489 0.4511 0.2143
Ir 0.7286 0.2714 0.4286
Ir 0.8901 0.1099 0.2513

Peak list (10 most intense, 5° ≤ 2θ ≤ 70°, in order of rising 2θ)
2theta, d (Å), Rel. int.
23.0, 3.859, 39
31.1, 2.880, 20
32.5, 2.758, 100
32.6, 2.743, 67
35.4, 2.538, 24
35.8, 2.507, 37
39.4, 2.288, 64
42.5, 2.129, 44
43.4, 2.083, 53
61.5, 1.507, 22


No. 3
# YPa2S3
Computed X-ray diffraction stick pattern, λ = 1.5418 Å (Cu Kα). Input: a crystal structure in Alexandria, relaxed with GGA-PBE.

Crystal structure
Lattice parameters (Å, degrees): 8.7228 8.7228 8.7228 154.17 154.17 36.85
Positions (direct):
Y 0.0000 0.0000 0.0000
Pa 0.3315 0.3315 0.0000
Pa 0.6685 0.6685 0.0000
S 0.1643 0.1643 0.0000
S 0.5000 0.5000 0.0000
S 0.8357 0.8357 0.0000

Peak list (10 most intense, 5° ≤ 2θ ≤ 70°, in order of rising 2θ)
2theta, d (Å), Rel. int.
10.7, 8.276, 19
23.4, 3.795, 12
28.0, 3.184, 91
32.5, 2.757, 100
34.3, 2.615, 6
35.6, 2.523, 7
46.6, 1.950, 73
55.2, 1.663, 45
57.9, 1.592, 25
68.0, 1.379, 12


No. 4
# Tb8Y3Mg
Computed X-ray diffraction stick pattern, λ = 1.5418 Å (Cu Kα). Input: a crystal structure in Alexandria, relaxed with GGA-PBE.

Crystal structure
Lattice parameters (Å, degrees): 3.5851 9.5136 11.5687 104.86 90.00 90.01
Positions (direct):
Tb 0.0000 0.0000 0.0000
Tb 0.9998 0.2724 0.2765
Tb 0.0000 0.6605 0.0607
Tb 0.0005 0.7768 0.5629
Tb 0.4993 0.9400 0.2542
Tb 0.5001 0.0683 0.7552
Tb 0.4998 0.4405 0.5419
Tb 0.5006 0.7098 0.8091
Y 0.5000 0.3299 0.0281
Y 0.5002 0.5973 0.3036
Y 0.9991 0.1150 0.5100
Mg 0.0007 0.3872 0.7831

Peak list (10 most intense, 5° ≤ 2θ ≤ 70°, in order of rising 2θ)
2theta, d (Å), Rel. int.
29.6, 3.018, 36
29.9, 2.993, 34
31.4, 2.850, 48
32.0, 2.795, 62
32.2, 2.780, 68
32.5, 2.757, 100
32.7, 2.737, 38
33.2, 2.700, 55
37.9, 2.376, 28
61.6, 1.506, 29


No. 5
# Ac2Tb3Au4
Computed X-ray diffraction stick pattern, λ = 1.5418 Å (Cu Kα). Input: a crystal structure in Alexandria, relaxed with GGA-PBE.

Crystal structure
Lattice parameters (Å, degrees): 7.9442 7.8515 8.6769 90.00 110.69 90.00
Positions (direct):
Ac 0.1945 0.1706 0.0905
Ac 0.1945 0.3294 0.5905
Ac 0.8055 0.6706 0.4095
Ac 0.8055 0.8294 0.9095
Tb 0.2475 0.6504 0.2504
Tb 0.2475 0.8496 0.7504
Tb 0.5000 0.0000 0.5000
Tb 0.5000 0.5000 0.0000
Tb 0.7525 0.1504 0.2496
Tb 0.7525 0.3496 0.7496
Au 0.0995 0.5504 0.8804
Au 0.0995 0.9496 0.3804
Au 0.4842 0.6362 0.6218
Au 0.4842 0.8638 0.1218
Au 0.5158 0.1362 0.8782
Au 0.5158 0.3638 0.3782
Au 0.9005 0.0504 0.6196
Au 0.9005 0.4496 0.1196

Peak list (10 most intense, 5° ≤ 2θ ≤ 70°, in order of rising 2θ)
2theta, d (Å), Rel. int.
28.6, 3.124, 42
29.6, 3.017, 29
30.8, 2.906, 67
31.0, 2.883, 25
32.2, 2.784, 100
33.0, 2.714, 78
35.1, 2.554, 18
36.1, 2.491, 46
36.3, 2.477, 29
43.4, 2.086, 17


No. 6
# NaCdPd3
Computed X-ray diffraction stick pattern, λ = 1.5418 Å (Cu Kα). Input: a crystal structure in Alexandria, relaxed with GGA-PBE.

Crystal structure
Lattice parameters (Å, degrees): 6.1497 5.1683 5.1153 73.45 53.67 52.88
Positions (direct):
Na 0.0000 0.0000 0.0000
Cd 0.3504 0.3504 0.6496
Pd 0.2302 0.2302 0.2698
Pd 0.6631 0.6631 0.3369
Pd 0.7302 0.7302 0.7698

Peak list (10 most intense, 5° ≤ 2θ ≤ 70°, in order of rising 2θ)
2theta, d (Å), Rel. int.
20.3, 4.380, 94
21.7, 4.094, 42
29.0, 3.075, 28
36.4, 2.470, 66
38.9, 2.316, 100
41.9, 2.158, 40
44.2, 2.047, 48
46.5, 1.953, 30
46.9, 1.936, 20
47.3, 1.920, 31


No. 7
# ScInGeCl6
Computed X-ray diffraction stick pattern, λ = 1.5418 Å (Cu Kα). Input: a crystal structure in Alexandria, relaxed with GGA-PBE.

Crystal structure
Lattice parameters (Å, degrees): 6.7991 6.7991 6.9166 90.00 90.00 120.00
Positions (direct):
Sc 0.0000 0.0000 0.0000
In 0.3333 0.6667 0.5000
Ge 0.6667 0.3333 0.0000
Cl 0.3147 0.0276 0.2102
Cl 0.3147 0.2871 0.7898
Cl 0.7129 0.0276 0.7898
Cl 0.7129 0.6853 0.2102
Cl 0.9724 0.2871 0.2102
Cl 0.9724 0.6853 0.7898

Peak list (10 most intense, 5° ≤ 2θ ≤ 70°, in order of rising 2θ)
2theta, d (Å), Rel. int.
19.8, 4.484, 100
26.2, 3.400, 13
29.3, 3.051, 33
33.1, 2.709, 22
37.1, 2.424, 65
42.7, 2.119, 28
46.3, 1.963, 25
50.3, 1.815, 11
58.0, 1.589, 13
60.7, 1.525, 12


No. 8
# Tb5ErHg2
Computed X-ray diffraction stick pattern, λ = 1.5418 Å (Cu Kα). Input: a crystal structure in Alexandria, relaxed with GGA-PBE.

Crystal structure
Lattice parameters (Å, degrees): 8.2452 8.2452 8.2452 154.39 102.05 83.66
Positions (direct):
Tb 0.0000 0.0000 0.0000
Tb 0.0870 0.3634 0.7236
Tb 0.3602 0.6366 0.7236
Tb 0.6398 0.3634 0.2764
Tb 0.9130 0.6366 0.2764
Er 0.5000 0.0000 0.5000
Hg 0.2687 0.2687 0.0000
Hg 0.7313 0.7313 0.0000

Peak list (10 most intense, 5° ≤ 2θ ≤ 70°, in order of rising 2θ)
2theta, d (Å), Rel. int.
29.7, 3.007, 24
30.8, 2.903, 67
32.8, 2.727, 63
33.9, 2.643, 100
34.6, 2.593, 41
35.7, 2.512, 24
48.4, 1.879, 33
49.9, 1.828, 18
61.2, 1.514, 30
61.7, 1.503, 36


Copy entry 4 word for word.
# Tb8Y3Mg
Computed X-ray diffraction stick pattern, λ = 1.5418 Å (Cu Kα). Input: a crystal structure in Alexandria, relaxed with GGA-PBE.

Crystal structure
Lattice parameters (Å, degrees): 3.5851 9.5136 11.5687 104.86 90.00 90.01
Positions (direct):
Tb 0.0000 0.0000 0.0000
Tb 0.9998 0.2724 0.2765
Tb 0.0000 0.6605 0.0607
Tb 0.0005 0.7768 0.5629
Tb 0.4993 0.9400 0.2542
Tb 0.5001 0.0683 0.7552
Tb 0.4998 0.4405 0.5419
Tb 0.5006 0.7098 0.8091
Y 0.5000 0.3299 0.0281
Y 0.5002 0.5973 0.3036
Y 0.9991 0.1150 0.5100
Mg 0.0007 0.3872 0.7831

Peak list (10 most intense, 5° ≤ 2θ ≤ 70°, in order of rising 2θ)
2theta, d (Å), Rel. int.
29.6, 3.018, 36
29.9, 2.993, 34
31.4, 2.850, 48
32.0, 2.795, 62
32.2, 2.780, 68
32.5, 2.757, 100
32.7, 2.737, 38
33.2, 2.700, 55
37.9, 2.376, 28
61.6, 1.506, 29